Computed X-ray powder pattern of CsLi2CrCl8 for Cu Kα (λ = 1.5418 Å), from a DFT-relaxed cell (GGA-PBE, Alexandria).
Intensities are scaled so that the largest is 100.

Most intense lines, 2θ = 10–90°, low angle first:
2θ 13.59, rel. 100.0, (0 1 0)
2θ 17.14, rel. 58.0, (1 0 1)
2θ 19.31, rel. 45.8, (1 0 -1)
2θ 21.73, rel. 76.7, (0 0 2)
2θ 32.55, rel. 49.2, (2 1 0)
2θ 33.32, rel. 36.8, (1 -2 1)

Crystal structure
a = 6.0886 Å, b = 6.5365 Å, c = 8.2681 Å
α = 85.55°, β = 82.86°, γ = 88.87°
Space group P-1 (No. 2)
One atom of each set of equivalent atoms:
Cs: 0.0000 0.0000 0.0000 [1 per cell]
Li: 0.4785 0.5449 0.2370 [2 per cell]
Cr: 0.5000 0.0000 0.5000 [1 per cell]
Cl: 0.1794 0.8518 0.5973 [2 per cell]
Cl: 0.2539 0.5007 0.0019 [2 per cell]
Cl: 0.3176 0.3134 0.4631 [2 per cell]
Cl: 0.4510 0.9168 0.2357 [2 per cell]

---

Computed X-ray powder pattern of CsMnCrCl6 for Cu Kα (λ = 1.5418 Å), from a DFT-relaxed cell (GGA-PBE, Alexandria).
Intensities are scaled so that the largest is 100.

Most intense lines, 2θ = 10–90°, low angle first:
2θ 19.53, rel. 100.0, (1 0 1)
2θ 29.97, rel. 24.9, (2 -1 1)
2θ 34.09, rel. 14.8, (2 0 1)
2θ 36.11, rel. 56.1, (1 1 2)
2θ 44.44, rel. 21.6, (2 1 1)
2θ 48.91, rel. 16.8, (3 0 0)

Crystal structure
a = 6.4510 Å, b = 6.4510 Å, c = 7.8149 Å
α = 90.00°, β = 90.00°, γ = 120.00°
Space group P312 (No. 149)
One atom of each set of equivalent atoms:
Cs: 0.0000 0.0000 0.0000 [1 per cell]
Mn: 0.3333 0.6667 0.5000 [1 per cell]
Cr: 0.6667 0.3333 0.5000 [1 per cell]
Cl: 0.3828 0.0196 0.3240 [6 per cell]